(1)
DyPuTh14: simulated X-ray diffraction stick pattern (λ = 1.5418 Å (Cu Kα)), based on a GGA-PBE-relaxed structure.

Crystal structure
a b c (Å): 11.540 7.165 12.345
angles (deg): 90.00 90.00 90.00
Space group Amm2 (No. 38)
One atom of each set of equivalent atoms:
Dy 0.000 0.000 0.000 (multiplicity 2)
Pu 0.000 0.000 0.500 (multiplicity 2)
Th 0.000 0.250 0.253 (multiplicity 4)
Th 0.248 0.249 0.583 (multiplicity 8)
Th 0.249 0.000 0.334 (multiplicity 4)
Th 0.251 0.000 0.833 (multiplicity 4)
Th 0.500 0.000 0.166 (multiplicity 2)
Th 0.500 0.000 0.666 (multiplicity 2)
Th 0.500 0.250 0.416 (multiplicity 4)

Largest 8 diffraction maxima, most intense first, 2θ = 10–80°:
- (2 2 2), 32.8°, I 100.0
- (4 0 0), 31.0°, I 50.1
- (2 0 4), 32.9°, I 47.2
- (1 2 2), 29.9°, I 39.5
- (3 0 4), 37.3°, I 33.7
- (6 2 2), 56.3°, I 32.8
- (4 2 6), 61.1°, I 30.3
- (0 2 6), 51.2°, I 25.4

***

(2)
DyPu4Tl5: simulated X-ray diffraction stick pattern (λ = 1.5418 Å (Cu Kα)), based on a GGA-PBE-relaxed structure.

Crystal structure
a b c (Å): 3.793 3.793 19.412
angles (deg): 90.00 90.00 90.00
Space group P4/mmm (No. 123)
One atom of each set of equivalent atoms:
Dy 0.000 0.000 0.000 (multiplicity 1)
Pu 0.000 0.000 0.198 (multiplicity 2)
Pu 0.000 0.000 0.400 (multiplicity 2)
Tl 0.500 0.500 0.095 (multiplicity 2)
Tl 0.500 0.500 0.299 (multiplicity 2)
Tl 0.500 0.500 0.500 (multiplicity 1)

Largest 8 diffraction maxima, most intense first, 2θ = 10–80°:
- (1 0 5), 33.0°, I 100.0
- (1 1 0), 33.4°, I 48.7
- (2 1 5), 59.5°, I 38.4
- (1 1 10), 58.7°, I 19.6
- (2 0 0), 48.0°, I 18.1
- (2 0 10), 69.3°, I 12.1
- (0 0 10), 46.8°, I 9.5
- (1 0 15), 78.0°, I 8.5

***

(3)
DyTm6Pu: simulated X-ray diffraction stick pattern (λ = 1.5418 Å (Cu Kα)), based on a GGA-PBE-relaxed structure.

Crystal structure
a b c (Å): 5.576 7.055 12.218
angles (deg): 90.00 90.00 90.00
Space group Amm2 (No. 38)
One atom of each set of equivalent atoms:
Dy 0.000 0.000 0.000 (multiplicity 2)
Tm 0.000 0.000 0.502 (multiplicity 2)
Tm 0.000 0.247 0.753 (multiplicity 4)
Tm 0.500 0.000 0.335 (multiplicity 2)
Tm 0.500 0.249 0.087 (multiplicity 4)
Pu 0.500 0.000 0.835 (multiplicity 2)

Largest 8 diffraction maxima, most intense first, 2θ = 10–80°:
- (1 0 4), 33.4°, I 100.0
- (2 0 0), 32.1°, I 24.7
- (0 2 2), 29.2°, I 23.8
- (2 4 0), 62.3°, I 22.6
- (3 0 4), 58.1°, I 20.9
- (0 4 0), 51.8°, I 19.5
- (1 4 4), 63.1°, I 16.3
- (2 2 2), 44.0°, I 15.9

***

(4)
Dy4Tm3Pu: simulated X-ray diffraction stick pattern (λ = 1.5418 Å (Cu Kα)), based on a GGA-PBE-relaxed structure.

Crystal structure
a b c (Å): 4.933 9.930 9.886
angles (deg): 90.00 90.00 90.00
Space group Pmmn (No. 59, origin choice 2)
One atom of each set of equivalent atoms:
Dy 0.250 0.002 0.129 (multiplicity 4)
Dy 0.250 0.250 0.873 (multiplicity 2)
Dy 0.250 0.750 0.872 (multiplicity 2)
Tm 0.250 0.000 0.621 (multiplicity 4)
Tm 0.250 0.750 0.380 (multiplicity 2)
Pu 0.250 0.250 0.375 (multiplicity 2)

Largest 8 diffraction maxima, most intense first, 2θ = 10–80°:
- (1 2 2), 31.3°, I 100.0
- (2 0 0), 36.4°, I 33.5
- (3 2 2), 62.3°, I 28.2
- (2 4 0), 52.3°, I 24.0
- (0 4 0), 36.2°, I 17.1
- (1 6 2), 62.1°, I 14.4
- (2 4 4), 65.3°, I 12.3
- (2 0 4), 52.4°, I 11.9